(1)
Theoretical X-ray powder pattern of CrP for copper Kα, from the PBE geometry in the Materials Project.
Intensities are scaled so that the largest is 100.

Crystal structure
```
data_CrP
_chemical_formula_sum 'Cr4 P4'
_symmetry_space_group_name_H-M 'P n m a'
_symmetry_Int_Tables_number 62
_cell_length_a 5.335
_cell_length_b 3.063
_cell_length_c 5.948
_cell_angle_alpha 90.00
_cell_angle_beta 90.00
_cell_angle_gamma 90.00
loop_
_symmetry_equiv_pos_as_xyz
'x,y,z'
'-x,-y,-z'
'-x+1/2,-y,z+1/2'
'x+1/2,y,-z+1/2'
'x+1/2,-y+1/2,-z+1/2'
'-x+1/2,y+1/2,z+1/2'
'-x,y+1/2,-z'
'x,-y+1/2,z'
loop_
_atom_site_label
_atom_site_type_symbol
_atom_site_fract_x
_atom_site_fract_y
_atom_site_fract_z
Cr1 Cr 0.009 0.250 0.190
P1 P 0.183 0.250 0.564
```

Top 10 peaks for 10 to 90 degrees two-theta, by angle:
(hkl)	2theta	I_rel
0 1 1	32.9	68
2 0 0	33.6	24
1 1 1	37.1	39
2 0 2	45.7	48
1 1 2	45.8	72
2 1 1	47.7	100
1 0 3	49.0	39
3 0 1	53.8	22
0 1 3	55.2	27
0 2 0	60.4	25

(2)
Theoretical X-ray powder pattern of CrPS4 for copper Kα, from the PBE geometry in the Materials Project.
Intensities are scaled so that the largest is 100.

Crystal structure
```
data_CrPS4
_chemical_formula_sum 'Cr4 P4 S16'
_symmetry_space_group_name_H-M 'C 1 2/m 1'
_symmetry_Int_Tables_number 12
_cell_length_a 10.889
_cell_length_b 7.334
_cell_length_c 6.670
_cell_angle_alpha 90.00
_cell_angle_beta 91.95
_cell_angle_gamma 90.00
loop_
_symmetry_equiv_pos_as_xyz
'x,y,z'
'-x,-y,-z'
'-x,y,-z'
'x,-y,z'
'x+1/2,y+1/2,z'
'-x+1/2,-y+1/2,-z'
'-x+1/2,y+1/2,-z'
'x+1/2,-y+1/2,z'
loop_
_atom_site_label
_atom_site_type_symbol
_atom_site_fract_x
_atom_site_fract_y
_atom_site_fract_z
Cr1 Cr 0.000 0.245 0.000
P1 P 0.203 0.000 0.845
S1 S 0.105 0.500 0.177
S2 S 0.129 0.000 0.132
S3 S 0.133 0.233 0.722
```

Top 10 peaks for 10 to 90 degrees two-theta, by angle:
(hkl)	2theta	I_rel
0 0 1	13.3	100
1 1 1	19.9	14
2 0 1	21.4	16
2 2 0	29.4	13
2 0 -2	31.0	23
2 2 1	32.6	62
4 0 -2	42.2	13
0 2 3	47.9	20
0 4 0	49.7	13
6 2 -1	58.0	12